[1]
Starting from a cell relaxed with PBE, the powder diffraction line list of GdInGa4Ir was simulated for λ = 1.5418 Å (Cu Kα).
Lines closer than 0.1° are merged.

Cell and atoms:
Unit cell a=4.442 b=4.442 c=6.907 alpha=90.00 beta=90.00 gamma=90.00
Fractional positions:
Gd: 0.000 0.000 0.000
In: 0.500 0.500 0.000
Ga: 0.000 0.500 0.307
Ga: 0.000 0.500 0.693
Ga: 0.500 0.000 0.307
Ga: 0.500 0.000 0.693
Ir: 0.000 0.000 0.500

Largest 10 diffraction maxima, most intense first, 10 to 90 degrees two-theta:
- 2θ = 38.75°, rel. 1000, hkl 1 1 2
- 2θ = 40.62°, rel. 537, hkl 2 0 0
- 2θ = 72.66°, rel. 308, hkl 3 1 2
- 2θ = 19.99°, rel. 293, hkl 1 0 0
- 2θ = 58.79°, rel. 178, hkl 2 2 0
- 2θ = 23.82°, rel. 173, hkl 1 0 1
- 2θ = 32.85°, rel. 172, hkl 1 0 2
- 2θ = 31.28°, rel. 135, hkl 1 1 1
- 2θ = 61.26°, rel. 101, hkl 1 1 4
- 2θ = 68.88°, rel. 98, hkl 2 0 4

[2]
Starting from a cell relaxed with PBE, the powder diffraction line list of Gd3Mg3GaIrPt was simulated for λ = 1.5418 Å (Cu Kα).
Lines closer than 0.1° are merged.

Cell and atoms:
Unit cell a=7.536 b=7.536 c=4.035 alpha=90.00 beta=90.00 gamma=120.00
Fractional positions:
Gd: 0.087 0.354 0.000
Gd: 0.267 0.913 0.000
Gd: 0.646 0.733 0.000
Mg: 0.421 0.330 0.500
Mg: 0.670 0.091 0.500
Mg: 0.909 0.579 0.500
Ga: 0.000 0.000 0.500
Ir: 0.333 0.667 0.500
Pt: 0.667 0.333 0.000

Largest 10 diffraction maxima, most intense first, 10 to 90 degrees two-theta:
- 2θ = 35.37°, rel. 1000, hkl 2 0 1
- 2θ = 32.51°, rel. 555, hkl 1 1 1
- 2θ = 42.97°, rel. 431, hkl 1 2 1
- 2θ = 23.61°, rel. 413, hkl 1 1 0
- 2θ = 41.51°, rel. 341, hkl 3 0 0
- 2θ = 66.62°, rel. 277, hkl 2 3 1
- 2θ = 27.33°, rel. 250, hkl 2 0 0
- 2θ = 13.57°, rel. 225, hkl 1 0 0
- 2θ = 25.96°, rel. 209, hkl 1 0 1
- 2θ = 44.92°, rel. 207, hkl 0 0 2